1.
Diffraction record for Zr3Tc2. The X-ray powder pattern is theoretical, not measured: it uses a PBE-relaxed structure and Cu Kα, 1.54184 Å.
Kinematic intensities with the Lorentz-polarization factor, no thermal factor.

Largest 10 diffraction maxima, sorted by position, 15° ≤ 2θ ≤ 90°:
2θ = 37.66°, intensity 100
2θ = 38.44°, intensity 55
2θ = 41.61°, intensity 9
2θ = 53.12°, intensity 6
2θ = 55.50°, intensity 18
2θ = 67.46°, intensity 11
2θ = 69.02°, intensity 32
2θ = 72.58°, intensity 5
2θ = 80.41°, intensity 7
2θ = 82.36°, intensity 6

Cell and atoms:
```
Zr3Tc2
1.0
3.312 0.000 0.000
0.000 3.312 0.000
0.000 0.000 17.242
Zr Tc
6 4
Cartesian
0.000 0.000 0.000
0.000 0.000 3.272
0.000 0.000 6.503
0.000 0.000 10.739
0.000 0.000 13.970
1.656 1.656 8.621
1.656 1.656 1.645
1.656 1.656 4.978
1.656 1.656 12.264
1.656 1.656 15.597
```

---

2.
Diffraction record for DyThGeS. The X-ray powder pattern is theoretical, not measured: it uses a PBE-relaxed structure and Cu Kα, 1.54184 Å.
Kinematic intensities with the Lorentz-polarization factor, no thermal factor.

Largest 10 diffraction maxima, sorted by position, 15° ≤ 2θ ≤ 90°:
2θ = 26.31°, intensity 45
2θ = 27.07°, intensity 14
2θ = 30.69°, intensity 100
2θ = 43.46°, intensity 39
2θ = 44.45°, intensity 36
2θ = 51.95°, intensity 15
2θ = 54.14°, intensity 20
2θ = 71.84°, intensity 21
2θ = 73.28°, intensity 16
2θ = 80.47°, intensity 13

Cell and atoms:
```
DyThGeS
1.0
4.164 0.000 0.000
-2.082 3.606 0.000
0.000 0.000 19.764
Dy Th Ge S
3 3 3 3
Cartesian
0.000 0.000 0.000
0.000 2.404 13.176
2.082 1.202 6.588
0.000 0.000 9.899
0.000 2.404 3.311
2.082 1.202 16.487
0.000 0.000 14.782
0.000 2.404 8.194
2.082 1.202 1.606
0.000 0.000 5.010
0.000 2.404 18.186
2.082 1.202 11.598
```

---

3.
Diffraction record for CdSn2As. The X-ray powder pattern is theoretical, not measured: it uses a PBE-relaxed structure and Cu Kα, 1.54184 Å.
Kinematic intensities with the Lorentz-polarization factor, no thermal factor.

Largest 10 diffraction maxima, sorted by position, 15° ≤ 2θ ≤ 90°:
2θ = 30.61°, intensity 78
2θ = 32.03°, intensity 48
2θ = 32.33°, intensity 46
2θ = 32.81°, intensity 100
2θ = 45.12°, intensity 37
2θ = 45.48°, intensity 81
2θ = 46.15°, intensity 16
2θ = 62.59°, intensity 18
2θ = 63.17°, intensity 17
2θ = 73.55°, intensity 20

Cell and atoms:
```
CdSn2As
1.0
5.841 0.000 0.000
0.000 11.078 0.000
0.000 0.000 6.275
Cd Sn As
4 8 4
Cartesian
0.000 0.000 0.000
0.000 5.539 3.138
2.921 0.000 3.138
2.921 5.539 0.000
0.000 2.409 4.225
0.000 3.130 1.088
0.000 7.948 1.088
0.000 8.669 4.225
2.921 2.409 1.088
2.921 3.130 4.225
2.921 7.948 4.225
2.921 8.669 1.088
0.000 0.000 2.830
0.000 5.539 5.968
2.921 0.000 5.968
2.921 5.539 2.830
```

---

4.
Diffraction record for PrY9Er2. The X-ray powder pattern is theoretical, not measured: it uses a PBE-relaxed structure and Cu Kα, 1.54184 Å.
Kinematic intensities with the Lorentz-polarization factor, no thermal factor.

Largest 10 diffraction maxima, sorted by position, 15° ≤ 2θ ≤ 90°:
2θ = 17.55°, intensity 6
2θ = 24.91°, intensity 6
2θ = 30.64°, intensity 100
2θ = 35.52°, intensity 50
2θ = 51.11°, intensity 35
2θ = 60.78°, intensity 41
2θ = 63.79°, intensity 12
2θ = 75.19°, intensity 5
2θ = 83.34°, intensity 17
2θ = 86.02°, intensity 15

Cell and atoms:
```
PrY9Er2
1.0
5.053 0.000 0.000
0.000 5.053 0.000
0.000 0.000 15.171
Pr Y Er
1 9 2
Cartesian
0.000 0.000 0.000
0.000 2.526 2.574
0.000 2.526 7.586
0.000 2.526 12.598
2.526 0.000 2.574
2.526 0.000 7.586
2.526 0.000 12.598
2.526 2.526 0.000
2.526 2.526 5.090
2.526 2.526 10.082
0.000 0.000 5.077
0.000 0.000 10.094
```

---

5.
Diffraction record for Ac3DyPb5. The X-ray powder pattern is theoretical, not measured: it uses a PBE-relaxed structure and Cu Kα, 1.54184 Å.
Kinematic intensities with the Lorentz-polarization factor, no thermal factor.

Largest 10 diffraction maxima, sorted by position, 15° ≤ 2θ ≤ 90°:
2θ = 29.97°, intensity 57
2θ = 30.68°, intensity 86
2θ = 31.39°, intensity 100
2θ = 39.38°, intensity 19
2θ = 44.46°, intensity 29
2θ = 48.17°, intensity 16
2θ = 54.99°, intensity 27
2θ = 57.33°, intensity 14
2θ = 60.46°, intensity 13
2θ = 62.52°, intensity 24

Cell and atoms:
```
Ac3DyPb5
1.0
10.096 0.000 0.000
-5.048 8.744 0.000
0.000 0.000 6.907
Ac Dy Pb
6 2 10
Cartesian
-1.931 3.345 1.727
-3.117 5.399 5.180
3.863 0.000 1.727
1.931 3.345 5.180
6.234 0.000 5.180
3.117 5.399 1.727
0.000 0.000 0.000
0.000 0.000 3.453
-1.388 2.404 5.180
-3.660 6.339 1.727
2.776 0.000 5.180
1.388 2.404 1.727
0.000 5.829 0.000
0.000 5.829 3.453
5.048 2.915 0.000
5.048 2.915 3.453
7.320 0.000 1.727
3.660 6.339 5.180
```

---

6.
Diffraction record for Pm4InAu2. The X-ray powder pattern is theoretical, not measured: it uses a PBE-relaxed structure and Cu Kα, 1.54184 Å.
Kinematic intensities with the Lorentz-polarization factor, no thermal factor.

Largest 10 diffraction maxima, sorted by position, 15° ≤ 2θ ≤ 90°:
2θ = 29.75°, intensity 72
2θ = 29.93°, intensity 100
2θ = 31.32°, intensity 67
2θ = 35.52°, intensity 59
2θ = 35.97°, intensity 53
2θ = 36.72°, intensity 43
2θ = 45.88°, intensity 22
2θ = 49.02°, intensity 32
2θ = 50.76°, intensity 21
2θ = 62.18°, intensity 20

Cell and atoms:
```
Pm4InAu2
1.0
-4.748 4.748 4.492
4.748 -4.748 4.492
4.748 4.748 -4.492
Pm In Au
8 2 4
Cartesian
-1.653 4.125 5.078
6.401 0.624 0.586
4.125 3.096 -1.660
0.624 3.096 -0.586
0.624 1.653 2.832
4.125 1.653 3.906
1.653 -0.624 6.152
3.096 5.372 1.660
0.000 0.000 0.000
0.000 4.748 2.246
2.374 -1.420 3.369
3.328 2.374 1.123
2.374 6.168 -1.123
1.420 2.374 5.615
```

---

7.
Diffraction record for Cs3TlTe3. The X-ray powder pattern is theoretical, not measured: it uses a PBE-relaxed structure and Cu Kα, 1.54184 Å.
Kinematic intensities with the Lorentz-polarization factor, no thermal factor.

Largest 10 diffraction maxima, sorted by position, 15° ≤ 2θ ≤ 90°:
2θ = 20.73°, intensity 30
2θ = 22.73°, intensity 30
2θ = 22.87°, intensity 60
2θ = 24.02°, intensity 29
2θ = 27.47°, intensity 19
2θ = 27.98°, intensity 19
2θ = 31.97°, intensity 100
2θ = 32.57°, intensity 67
2θ = 42.51°, intensity 16
2θ = 46.68°, intensity 21

Cell and atoms:
```
Cs3TlTe3
1.0
11.681 -4.036 0.000
11.681 4.036 0.000
0.000 0.000 15.533
Cs Tl Te
12 4 12
Cartesian
4.134 1.415 13.544
7.547 1.415 9.755
11.681 2.646 13.141
11.681 1.391 5.375
4.134 -1.415 1.989
7.547 -1.415 5.777
15.815 1.415 9.755
19.228 1.415 13.544
11.681 -1.391 10.158
11.681 -2.646 2.392
15.815 -1.415 5.777
19.228 -1.415 1.989
2.036 0.000 7.766
9.646 0.000 0.000
13.717 0.000 0.000
21.327 0.000 7.766
8.040 2.536 5.924
8.040 1.500 13.690
11.681 2.426 9.218
11.681 1.610 1.452
15.322 2.536 5.924
15.322 1.500 13.690
8.040 -1.500 1.843
8.040 -2.536 9.609
11.681 -1.610 14.081
11.681 -2.426 6.314
15.322 -1.500 1.843
15.322 -2.536 9.609
```

---

8.
Diffraction record for Pr4Zn3. The X-ray powder pattern is theoretical, not measured: it uses a PBE-relaxed structure and Cu Kα, 1.54184 Å.
Kinematic intensities with the Lorentz-polarization factor, no thermal factor.

Largest 10 diffraction maxima, sorted by position, 15° ≤ 2θ ≤ 90°:
2θ = 23.60°, intensity 19
2θ = 33.54°, intensity 99
2θ = 33.71°, intensity 100
2θ = 48.29°, intensity 34
2θ = 59.96°, intensity 17
2θ = 60.07°, intensity 33
2θ = 60.41°, intensity 17
2θ = 70.89°, intensity 11
2θ = 80.45°, intensity 13
2θ = 80.74°, intensity 13

Cell and atoms:
```
Pr4Zn3
1.0
7.070 4.082 2.165
-7.070 4.082 2.165
0.000 -8.164 2.165
Pr Zn
8 6
Cartesian
0.000 0.000 0.000
-3.872 -3.465 3.183
-4.936 1.621 3.313
1.064 -5.085 3.313
0.000 0.000 3.248
-1.064 5.085 3.183
4.936 -1.621 3.183
3.872 3.465 3.313
-0.937 -2.811 2.051
-1.966 2.217 2.051
-2.903 -0.594 4.445
2.903 0.594 2.051
1.966 -2.217 4.445
0.937 2.811 4.445
```

---

9.
Diffraction record for HoNbRh. The X-ray powder pattern is theoretical, not measured: it uses a PBE-relaxed structure and Cu Kα, 1.54184 Å.
Kinematic intensities with the Lorentz-polarization factor, no thermal factor.

Largest 10 diffraction maxima, sorted by position, 15° ≤ 2θ ≤ 90°:
2θ = 26.91°, intensity 4
2θ = 31.72°, intensity 4
2θ = 36.94°, intensity 100
2θ = 38.42°, intensity 48
2θ = 50.93°, intensity 8
2θ = 55.47°, intensity 16
2θ = 65.56°, intensity 15
2θ = 68.52°, intensity 32
2θ = 78.63°, intensity 9
2θ = 86.57°, intensity 5

Cell and atoms:
```
HoNbRh
1.0
4.681 0.000 0.000
0.000 4.690 0.000
0.000 0.000 10.758
Ho Nb Rh
4 4 4
Cartesian
0.000 0.000 1.739
0.000 0.000 9.019
2.341 2.345 1.739
2.341 2.345 9.019
0.000 2.345 3.877
0.000 2.345 6.881
2.341 0.000 3.877
2.341 0.000 6.881
0.000 0.000 5.379
0.000 2.345 0.000
2.341 0.000 0.000
2.341 2.345 5.379
```

---

10.
Diffraction record for Tm2In2Ag. The X-ray powder pattern is theoretical, not measured: it uses a PBE-relaxed structure and Cu Kα, 1.54184 Å.
Kinematic intensities with the Lorentz-polarization factor, no thermal factor.

Largest 10 diffraction maxima, sorted by position, 15° ≤ 2θ ≤ 90°:
2θ = 31.89°, intensity 26
2θ = 32.16°, intensity 73
2θ = 32.87°, intensity 40
2θ = 35.68°, intensity 45
2θ = 36.76°, intensity 100
2θ = 37.82°, intensity 78
2θ = 50.94°, intensity 23
2θ = 54.58°, intensity 21
2θ = 67.57°, intensity 17
2θ = 68.98°, intensity 14

Cell and atoms:
```
Tm2In2Ag
1.0
5.513 -2.380 0.000
5.513 2.380 0.000
-4.066 0.000 9.500
Tm In Ag
4 4 2
Cartesian
-1.030 0.000 3.283
1.488 0.000 0.837
5.471 0.000 8.663
7.989 0.000 6.216
2.335 0.000 3.879
4.601 0.000 1.225
2.358 0.000 8.274
4.624 0.000 5.620
0.336 0.000 6.297
6.623 0.000 3.202
```

---

11.
Diffraction record for NdYEr2Te6. The X-ray powder pattern is theoretical, not measured: it uses a PBE-relaxed structure and Cu Kα, 1.54184 Å.
Kinematic intensities with the Lorentz-polarization factor, no thermal factor.

Largest 10 diffraction maxima, sorted by position, 15° ≤ 2θ ≤ 90°:
2θ = 15.67°, intensity 37
2θ = 21.44°, intensity 24
2θ = 26.29°, intensity 100
2θ = 31.64°, intensity 22
2θ = 34.47°, intensity 97
2θ = 40.37°, intensity 63
2θ = 45.24°, intensity 23
2θ = 54.11°, intensity 25
2θ = 67.85°, intensity 20
2θ = 69.63°, intensity 22

Cell and atoms:
```
NdYEr2Te6
1.0
3.869 2.234 7.030
-3.869 2.234 7.030
0.000 -4.468 7.030
Nd Y Er Te
1 1 2 6
Cartesian
0.000 0.000 0.000
0.000 0.000 10.484
0.000 0.000 6.542
0.000 0.000 17.128
-2.385 -0.123 8.490
-1.424 -2.285 11.981
1.299 -2.004 8.490
-1.267 2.376 11.981
1.086 2.127 8.490
2.691 -0.091 11.981
```

---

12.
Diffraction record for LiGeSbF6. The X-ray powder pattern is theoretical, not measured: it uses a PBE-relaxed structure and Cu Kα, 1.54184 Å.
Kinematic intensities with the Lorentz-polarization factor, no thermal factor.

Largest 10 diffraction maxima, sorted by position, 15° ≤ 2θ ≤ 90°:
2θ = 17.81°, intensity 38
2θ = 25.74°, intensity 100
2θ = 31.11°, intensity 26
2θ = 36.08°, intensity 13
2θ = 40.81°, intensity 34
2θ = 41.68°, intensity 13
2θ = 49.38°, intensity 27
2θ = 52.19°, intensity 27
2θ = 62.67°, intensity 11
2θ = 71.01°, intensity 11

Cell and atoms:
```
LiGeSbF6
1.0
5.749 0.000 0.000
-2.875 4.979 0.000
0.000 0.000 4.814
Li Ge Sb F
1 1 1 6
Cartesian
0.000 0.000 0.000
0.000 3.319 2.283
2.875 1.660 0.261
-0.453 1.809 1.140
-1.082 4.467 1.140
1.377 1.162 3.854
1.535 3.682 1.140
4.054 0.611 3.854
3.192 3.206 3.854
```

---

Q: Number 6 is which compound?
A: Pm4InAu2